Na3H5C2O8: simulated PXRD pattern (Cu Kα), based on a cell relaxed with PBE.
No peak broadening, texture or thermal motion is included.

```
Na3H5C2O8
1.0
10.107 -1.834 0.000
10.107 1.834 0.000
-3.016 0.000 10.048
Na H C O
6 10 4 16
direct
0.000 0.000 0.000
0.225 0.076 0.670
0.275 0.428 0.820
0.506 0.494 0.500
0.572 0.725 0.180
0.924 0.775 0.330
0.031 0.346 0.009
0.242 0.271 0.117
0.248 0.736 0.249
0.264 0.222 0.387
0.264 0.752 0.751
0.474 0.149 0.495
0.654 0.969 0.991
0.729 0.758 0.883
0.778 0.736 0.613
0.851 0.526 0.505
0.077 0.105 0.354
0.425 0.386 0.143
0.614 0.575 0.857
0.895 0.923 0.646
0.004 0.298 0.358
0.063 0.075 0.457
0.065 0.830 0.761
0.130 0.285 0.104
0.170 0.935 0.239
0.316 0.570 0.259
0.368 0.217 0.400
0.430 0.426 0.042
0.430 0.684 0.741
0.515 0.181 0.145
0.574 0.570 0.958
0.702 0.996 0.642
0.715 0.870 0.896
0.783 0.632 0.600
0.819 0.485 0.855
0.925 0.937 0.543
```

Largest 8 diffraction maxima, by angle, 2θ = 10–80°:
| Position (°2θ) | intensity |
| --- | --- |
| 26.72 | 22.3 |
| 28.13 | 22.4 |
| 29.07 | 39.5 |
| 33.05 | 100.0 |
| 35.60 | 35.2 |
| 39.57 | 23.7 |
| 43.61 | 18.1 |
| 45.09 | 24.1 |


ThC: simulated PXRD pattern (Cu Kα), based on a cell relaxed with PBE.
No peak broadening, texture or thermal motion is included.

```
ThC
1.0
0.000 2.677 2.677
2.677 0.000 2.677
2.677 2.677 0.000
Th C
1 1
direct
0.000 0.000 0.000
0.500 0.500 0.500
```

Largest 7 diffraction maxima, by angle, 2θ = 10–80°:
| Position (°2θ) | intensity |
| --- | --- |
| 28.88 | 100.0 |
| 33.47 | 62.9 |
| 48.06 | 46.1 |
| 57.05 | 48.1 |
| 59.83 | 16.1 |
| 70.32 | 7.5 |
| 77.74 | 20.1 |


NaBi12O20: simulated PXRD pattern (Cu Kα), based on a cell relaxed with PBE.
No peak broadening, texture or thermal motion is included.

```
NaBi12O20
1.0
-5.142 5.142 5.142
5.142 -5.142 5.142
5.142 5.142 -5.142
Na Bi O
1 12 20
direct
0.000 0.000 0.000
0.141 0.828 0.317
0.172 0.313 0.489
0.176 0.687 0.859
0.313 0.489 0.172
0.317 0.141 0.828
0.489 0.172 0.313
0.511 0.824 0.683
0.683 0.511 0.824
0.687 0.859 0.176
0.824 0.683 0.511
0.828 0.317 0.141
0.859 0.176 0.687
0.000 0.000 0.345
0.000 0.000 0.726
0.000 0.345 0.000
0.000 0.726 0.000
0.109 0.365 0.734
0.255 0.891 0.624
0.266 0.631 0.376
0.274 0.274 0.274
0.345 0.000 0.000
0.365 0.734 0.109
0.369 0.635 0.745
0.376 0.266 0.631
0.624 0.255 0.891
0.631 0.376 0.266
0.635 0.745 0.369
0.655 0.655 0.655
0.726 0.000 0.000
0.734 0.109 0.365
0.745 0.369 0.635
0.891 0.624 0.255
```

Largest 8 diffraction maxima, by angle, 2θ = 10–80°:
| Position (°2θ) | intensity |
| --- | --- |
| 24.48 | 27.8 |
| 27.43 | 100.0 |
| 30.10 | 20.7 |
| 32.58 | 64.7 |
| 51.84 | 51.3 |
| 55.05 | 27.5 |
| 61.12 | 20.1 |
| 77.69 | 18.9 |